For K2Te3O12, a crystal structure in the Materials Project, relaxed with GGA-PBE gives the simulated XRD peak list in this record (CuKα).

Main lines, by angle (10 to 90 degrees two-theta):
- 14.14 deg, intensity 100
- 16.01 deg, intensity 18
- 19.85 deg, intensity 20
- 24.84 deg, intensity 36
- 25.22 deg, intensity 23
- 28.12 deg, intensity 32
- 29.43 deg, intensity 31
- 30.01 deg, intensity 18

a = 11.559 Å, b = 8.284 Å, c = 13.427 Å
α = 58.78°, β = 37.80°, γ = 83.42°
Fractional positions:
K (0.052, 0.448, 0.092)
K (0.158, 0.842, 0.198)
K (0.448, 0.052, 0.408)
K (0.842, 0.158, 0.802)
Te (0.095, 0.095, 0.905)
Te (0.345, 0.345, 0.155)
Te (0.578, 0.599, 0.529)
Te (0.599, 0.578, 0.295)
Te (0.721, 0.955, 0.672)
Te (0.955, 0.721, 0.651)
O (0.023, 0.654, 0.755)
O (0.031, 0.257, 0.360)
O (0.103, 0.617, 0.509)
O (0.211, 0.915, 0.908)
O (0.257, 0.031, 0.352)
O (0.267, 0.310, 0.830)
O (0.285, 0.342, 0.335)
O (0.310, 0.267, 0.593)
O (0.342, 0.285, 0.039)
O (0.420, 0.657, 0.983)
O (0.479, 0.741, 0.633)
O (0.488, 0.692, 0.437)
O (0.495, 0.681, 0.227)
O (0.617, 0.103, 0.771)
O (0.654, 0.023, 0.569)
O (0.657, 0.420, 0.940)
O (0.681, 0.495, 0.596)
O (0.692, 0.488, 0.383)
O (0.741, 0.479, 0.147)
O (0.813, 0.867, 0.762)
O (0.867, 0.813, 0.558)
O (0.890, 0.898, 0.219)
O (0.898, 0.890, 0.993)
O (0.915, 0.211, 0.965)

For K2TeO6, a crystal structure in the Materials Project, relaxed with GGA-PBE gives the simulated XRD peak list in this record (CuKα).

Main lines, by angle (10 to 90 degrees two-theta):
- 14.37 deg, intensity 63
- 22.05 deg, intensity 42
- 24.01 deg, intensity 65
- 25.52 deg, intensity 42
- 27.85 deg, intensity 33
- 32.44 deg, intensity 38
- 34.01 deg, intensity 100
- 35.13 deg, intensity 52

a = 7.499 Å, b = 6.980 Å, c = 13.118 Å
α = 90.00°, β = 90.00°, γ = 90.00°
Fractional positions:
K (0.016, 0.250, 0.072)
K (0.020, 0.250, 0.400)
K (0.480, 0.750, 0.900)
K (0.484, 0.750, 0.572)
K (0.516, 0.250, 0.428)
K (0.520, 0.250, 0.100)
K (0.980, 0.750, 0.600)
K (0.984, 0.750, 0.928)
Te (0.010, 0.750, 0.214)
Te (0.490, 0.250, 0.714)
Te (0.510, 0.750, 0.286)
Te (0.990, 0.250, 0.786)
O (0.139, 0.042, 0.828)
O (0.139, 0.458, 0.828)
O (0.180, 0.750, 0.106)
O (0.228, 0.514, 0.493)
O (0.228, 0.986, 0.493)
O (0.237, 0.750, 0.746)
O (0.263, 0.250, 0.246)
O (0.272, 0.014, 0.993)
O (0.272, 0.486, 0.993)
O (0.320, 0.250, 0.606)
O (0.361, 0.542, 0.328)
O (0.361, 0.958, 0.328)
O (0.639, 0.042, 0.672)
O (0.639, 0.458, 0.672)
O (0.680, 0.750, 0.394)
O (0.728, 0.514, 0.007)
O (0.728, 0.986, 0.007)
O (0.737, 0.750, 0.754)
O (0.763, 0.250, 0.254)
O (0.772, 0.014, 0.507)
O (0.772, 0.486, 0.507)
O (0.820, 0.250, 0.894)
O (0.861, 0.542, 0.172)
O (0.861, 0.958, 0.172)